[1]
Simulated X-ray powder pattern
Compound: PrHoAlNi2
Radiation: Cu Kα
Structure: a cell relaxed with PBE
Lines closer than 0.1° are merged.

Main lines, by angle (10 to 90 degrees two-theta):
two_theta	I (rel.)
26.69	75
34.25	100
35.96	30
38.46	47
39.39	49
40.84	41
42.76	33
55.03	21
59.56	42
69.19	30

Crystal structure
abc: 4.2297 5.4458 8.4316
angles: 90.00 90.00 90.00
Positions (direct):
1 Pr 0.0000 0.0000 0.0000
2 Pr 0.5000 0.5000 0.5000
3 Ho 0.0000 0.0000 0.5915
4 Ho 0.5000 0.5000 0.0915
5 Al 0.0000 0.5000 0.7959
6 Al 0.5000 0.0000 0.2959
7 Ni 0.0000 0.2665 0.2956
8 Ni 0.0000 0.7335 0.2956
9 Ni 0.5000 0.2335 0.7956
10 Ni 0.5000 0.7665 0.7956

[2]
Simulated X-ray powder pattern
Compound: ZnCuAgSnSe4
Radiation: Cu Kα
Structure: a cell relaxed with PBE
Lines closer than 0.1° are merged.

Main lines, by angle (10 to 90 degrees two-theta):
two_theta	I (rel.)
26.24	100
43.44	50
43.65	24
51.28	15
51.64	29
63.43	7
69.56	12
79.59	8
80.02	15
86.11	6

Crystal structure
abc: 5.8656 5.8656 11.8379
angles: 90.00 90.00 90.00
Positions (direct):
1 Zn 0.0000 0.0000 0.0000
2 Zn 0.5000 0.5000 0.5000
3 Cu 0.0000 0.5000 0.2500
4 Cu 0.5000 0.0000 0.7500
5 Ag 0.0000 0.0000 0.5000
6 Ag 0.5000 0.5000 0.0000
7 Sn 0.0000 0.5000 0.7500
8 Sn 0.5000 0.0000 0.2500
9 Se 0.2259 0.2515 0.1274
10 Se 0.2485 0.7259 0.3726
11 Se 0.2515 0.7741 0.8726
12 Se 0.2741 0.2485 0.6274
13 Se 0.7259 0.7515 0.6274
14 Se 0.7485 0.2259 0.8726
15 Se 0.7515 0.2741 0.3726
16 Se 0.7741 0.7485 0.1274

[3]
Simulated X-ray powder pattern
Compound: Sr2LiNiAs2
Radiation: Cu Kα
Structure: a cell relaxed with PBE
Lines closer than 0.1° are merged.

Main lines, by angle (10 to 90 degrees two-theta):
two_theta	I (rel.)
10.23	9
24.04	8
26.18	12
31.82	100
41.77	15
42.28	42
53.87	22
60.94	28
70.03	10
70.77	19

Crystal structure
abc: 4.2749 4.2749 8.6506
angles: 90.00 90.00 120.00
Positions (direct):
1 Sr 0.0000 0.0000 0.2484
2 Sr 0.0000 0.0000 0.7516
3 Li 0.6667 0.3333 0.0000
4 Ni 0.3333 0.6667 0.5000
5 As 0.3333 0.6667 0.0000
6 As 0.6667 0.3333 0.5000

[4]
Simulated X-ray powder pattern
Compound: RbAc2Re
Radiation: Cu Kα
Structure: a cell relaxed with PBE
Lines closer than 0.1° are merged.

Main lines, by angle (10 to 90 degrees two-theta):
two_theta	I (rel.)
24.55	61
25.64	16
28.70	17
33.23	100
38.78	27
43.21	32
43.88	16
55.57	24
64.15	18
72.89	21

Crystal structure
abc: 4.1876 4.1876 12.0918
angles: 90.00 90.00 120.00
Positions (direct):
1 Rb 0.0000 0.0000 0.0000
2 Ac 0.0000 0.0000 0.3503
3 Ac 0.0000 0.0000 0.6497
4 Re 0.6667 0.3333 0.5000

[5]
Simulated X-ray powder pattern
Compound: HfSbO3
Radiation: Cu Kα
Structure: a cell relaxed with PBE
Lines closer than 0.1° are merged.

Main lines, by angle (10 to 90 degrees two-theta):
two_theta	I (rel.)
14.33	34
21.69	29
27.41	100
31.06	29
34.00	86
44.22	28
45.21	49
56.70	33
56.93	26
60.86	25

Crystal structure
abc: 6.8904 6.8904 6.8904
angles: 44.99 44.99 44.99
Positions (direct):
1 Hf 0.1630 0.1630 0.1630
2 Hf 0.8370 0.8370 0.8370
3 Sb 0.3695 0.3695 0.3695
4 Sb 0.6305 0.6305 0.6305
5 O 0.1023 0.4449 0.7728
6 O 0.2272 0.8977 0.5551
7 O 0.4449 0.7728 0.1023
8 O 0.5551 0.2272 0.8977
9 O 0.7728 0.1023 0.4449
10 O 0.8977 0.5551 0.2272

[6]
Simulated X-ray powder pattern
Compound: TmLu3Cd2C2
Radiation: Cu Kα
Structure: a cell relaxed with PBE
Lines closer than 0.1° are merged.

Main lines, by angle (10 to 90 degrees two-theta):
two_theta	I (rel.)
10.96	9
29.59	22
33.28	22
34.05	100
45.13	16
52.50	20
59.97	19
63.60	21
64.07	16
87.36	14

Crystal structure
abc: 3.4858 3.4858 16.1507
angles: 90.00 90.00 120.00
Positions (direct):
1 Tm 0.0000 0.0000 0.0000
2 Lu 0.0000 0.0000 0.6635
3 Lu 0.6667 0.3333 0.1643
4 Lu 0.6667 0.3333 0.5008
5 Cd 0.0000 0.0000 0.3322
6 Cd 0.6667 0.3333 0.8317
7 C 0.3333 0.6667 0.0828
8 C 0.3333 0.6667 0.5822

[7]
Simulated X-ray powder pattern
Compound: BaIrPt
Radiation: Cu Kα
Structure: a cell relaxed with PBE
Lines closer than 0.1° are merged.

Main lines, by angle (10 to 90 degrees two-theta):
two_theta	I (rel.)
22.54	36
26.08	8
37.21	100
43.94	19
53.65	18
58.91	8
67.10	36
71.77	6
79.31	11
83.73	6

Crystal structure
abc: 6.8337 6.8337 6.8337
angles: 90.00 90.00 90.00
Positions (direct):
1 Ba 0.0000 0.0000 0.0000
2 Ba 0.0000 0.5000 0.5000
3 Ba 0.5000 0.0000 0.5000
4 Ba 0.5000 0.5000 0.0000
5 Ir 0.0000 0.0000 0.5000
6 Ir 0.0000 0.5000 0.0000
7 Ir 0.5000 0.0000 0.0000
8 Ir 0.5000 0.5000 0.5000
9 Pt 0.2500 0.2500 0.2500
10 Pt 0.2500 0.7500 0.7500
11 Pt 0.7500 0.2500 0.7500
12 Pt 0.7500 0.7500 0.2500

[8]
Simulated X-ray powder pattern
Compound: GdErGaCo2
Radiation: Cu Kα
Structure: a cell relaxed with PBE
Lines closer than 0.1° are merged.

Main lines, by angle (10 to 90 degrees two-theta):
two_theta	I (rel.)
27.20	17
31.42	30
33.94	100
35.87	74
39.26	50
42.03	34
46.85	25
48.53	23
61.80	30
64.75	18

Crystal structure
abc: 3.8781 3.7517 13.1141
angles: 90.00 90.00 90.00
Positions (direct):
1 Gd 0.0000 0.0000 0.0000
2 Gd 0.0000 0.5000 0.5000
3 Er 0.0000 0.0000 0.7349
4 Er 0.0000 0.5000 0.2349
5 Ga 0.5000 0.0000 0.3662
6 Ga 0.5000 0.5000 0.8662
7 Co 0.5000 0.0000 0.1693
8 Co 0.5000 0.0000 0.5704
9 Co 0.5000 0.5000 0.0704
10 Co 0.5000 0.5000 0.6693

[9]
Simulated X-ray powder pattern
Compound: TmZrCd2Cu4
Radiation: Cu Kα
Structure: a cell relaxed with PBE
Lines closer than 0.1° are merged.

Main lines, by angle (10 to 90 degrees two-theta):
two_theta	I (rel.)
27.51	10
27.73	5
39.30	51
39.46	100
56.79	17
57.28	8
71.35	32
71.67	16
84.52	5
84.93	10

Crystal structure
abc: 4.5853 4.5853 6.4340
angles: 90.00 90.00 90.00
Positions (direct):
1 Tm 0.0000 0.0000 0.0000
2 Zr 0.5000 0.5000 0.5000
3 Cd 0.0000 0.0000 0.5000
4 Cd 0.5000 0.5000 0.0000
5 Cu 0.0000 0.5000 0.2619
6 Cu 0.0000 0.5000 0.7381
7 Cu 0.5000 0.0000 0.2619
8 Cu 0.5000 0.0000 0.7381

[10]
Simulated X-ray powder pattern
Compound: Cu7Ag2
Radiation: Cu Kα
Structure: a cell relaxed with PBE
Lines closer than 0.1° are merged.

Main lines, by angle (10 to 90 degrees two-theta):
two_theta	I (rel.)
35.92	6
38.51	15
41.76	100
45.55	7
47.41	43
50.93	6
69.29	13
72.12	8
77.27	5
84.28	23

Crystal structure
abc: 16.2509 16.2509 16.2509
angles: 170.43 170.43 13.55
Positions (direct):
1 Cu 0.0000 0.0000 0.0000
2 Cu 0.1026 0.1026 0.0000
3 Cu 0.3465 0.3465 0.0000
4 Cu 0.4485 0.4485 0.0000
5 Cu 0.5515 0.5515 0.0000
6 Cu 0.6535 0.6535 0.0000
7 Cu 0.8974 0.8974 0.0000
8 Ag 0.2148 0.2148 0.0000
9 Ag 0.7852 0.7852 0.0000

[11]
Simulated X-ray powder pattern
Compound: As2Pd
Radiation: Cu Kα
Structure: a cell relaxed with PBE
Lines closer than 0.1° are merged.

Main lines, by angle (10 to 90 degrees two-theta):
two_theta	I (rel.)
25.17	44
29.15	4
41.69	100
49.32	21
51.67	1
60.43	16
66.51	8
68.48	1
76.10	33
81.64	6

Crystal structure
abc: 6.1278 6.1278 6.1278
angles: 90.00 90.00 90.00
Positions (direct):
1 As 0.2500 0.2500 0.2500
2 As 0.2500 0.2500 0.7500
3 As 0.2500 0.7500 0.2500
4 As 0.2500 0.7500 0.7500
5 As 0.7500 0.2500 0.2500
6 As 0.7500 0.2500 0.7500
7 As 0.7500 0.7500 0.2500
8 As 0.7500 0.7500 0.7500
9 Pd 0.0000 0.0000 0.0000
10 Pd 0.0000 0.5000 0.5000
11 Pd 0.5000 0.0000 0.5000
12 Pd 0.5000 0.5000 0.0000

[12]
Simulated X-ray powder pattern
Compound: NdRe2O6
Radiation: Cu Kα
Structure: a cell relaxed with PBE
Lines closer than 0.1° are merged.

Main lines, by angle (10 to 90 degrees two-theta):
two_theta	I (rel.)
11.46	21
22.84	37
23.03	17
25.63	26
32.53	52
32.66	100
46.67	30
58.12	40
58.37	19
77.58	18

Crystal structure
abc: 3.8928 3.8928 7.7246
angles: 90.00 90.00 90.00
Positions (direct):
1 Nd 0.0000 0.0000 0.0000
2 Re 0.5000 0.5000 0.2633
3 Re 0.5000 0.5000 0.7367
4 O 0.0000 0.5000 0.2268
5 O 0.0000 0.5000 0.7732
6 O 0.5000 0.0000 0.2268
7 O 0.5000 0.0000 0.7732
8 O 0.5000 0.5000 0.0000
9 O 0.5000 0.5000 0.5000